Simulated powder diffraction line list
Compound: Mg14CdSi
Radiation: CuKα
Structure: a cell relaxed with GGA-PBE
Intensities are scaled so that the largest is 100.

Top 8 peaks for 10° ≤ 2θ ≤ 80°, in order of rising 2θ:
| d [Å] | Position (°2θ) | I (rel.) |
| --- | --- | --- |
| 5.444 | 16.28 | 23 |
| 4.820 | 18.41 | 35 |
| 3.755 | 23.70 | 20 |
| 2.728 | 32.83 | 26 |
| 2.592 | 34.60 | 41 |
| 2.414 | 37.24 | 100 |
| 2.403 | 37.42 | 49 |
| 1.460 | 63.75 | 21 |

abc: 10.3696 6.3131 10.8487
angles: 90.00 90.00 90.00
Space group Amm2 (No. 38)
Inequivalent atoms, fractional coordinates:
1 Mg 0.0000 0.0000 0.0000 (multiplicity 2)
2 Mg 0.0000 0.0000 0.4995 (multiplicity 2)
3 Mg 0.0000 0.2492 0.2506 (multiplicity 4)
4 Mg 0.2485 0.0000 0.6667 (multiplicity 4)
5 Mg 0.2513 0.0000 0.1653 (multiplicity 4)
6 Mg 0.2534 0.2479 0.9179 (multiplicity 8)
7 Mg 0.5000 0.2505 0.2496 (multiplicity 4)
8 Cd 0.5000 0.0000 0.5010 (multiplicity 2)
9 Si 0.5000 0.0000 0.0011 (multiplicity 2)